Entry 1:
Simulated X-ray powder pattern of Cs3TlZn2F8 for λ = 1.5418 Å (Cu Kα), from a DFT-relaxed cell (PBE, Alexandria).
Intensities are scaled so that the largest is 100.

Largest 10 diffraction maxima, by intensity, 2θ from 15° to 90°:
2theta  I (rel.)
26.9  100
26.0  92
37.7  49
46.9  35
47.4  21
45.3  19
55.4  18
60.8  17
62.1  17
53.4  15

Structural model:
abc: 6.639 6.639 8.551
angles: 90.00 90.00 120.00
Fractional coordinates of all 14 atoms:
Cs 0.000 0.000 0.000
Cs 0.333 0.667 0.656
Cs 0.667 0.333 0.344
Tl 0.000 0.000 0.500
Zn 0.333 0.667 0.201
Zn 0.667 0.333 0.799
F 0.179 0.358 0.295
F 0.179 0.821 0.295
F 0.333 0.667 0.980
F 0.358 0.179 0.705
F 0.642 0.821 0.295
F 0.667 0.333 0.020
F 0.821 0.179 0.705
F 0.821 0.642 0.705

***

Entry 2:
Simulated X-ray powder pattern of PmErMg5 for λ = 1.5418 Å (Cu Kα), from a DFT-relaxed cell (PBE, Alexandria).
Intensities are scaled so that the largest is 100.

Largest 10 diffraction maxima, by intensity, 2θ from 15° to 90°:
2theta  I (rel.)
21.0  100
34.1  35
34.3  35
35.2  32
39.5  20
41.2  18
41.5  17
60.6  13
23.3  13
62.4  12

Structural model:
abc: 5.242 5.242 7.237
angles: 90.00 90.00 93.65
Fractional coordinates of all 7 atoms:
Pm 0.000 0.000 0.000
Er 0.500 0.500 0.500
Mg 0.000 0.000 0.500
Mg 0.000 0.500 0.247
Mg 0.000 0.500 0.753
Mg 0.500 0.000 0.247
Mg 0.500 0.000 0.753